# 1
The following is a calculated powder diffractogram of TmScCu2Ge2. It was derived from a DFT-relaxed cell (PBE, OQMD), using Cu Kα, 1.54184 Å.
Kinematic intensities with the Lorentz-polarization factor, no thermal factor.

Crystal structure
```
TmScCu2Ge2
1.0
4.209 0.000 0.000
-2.104 3.645 0.000
0.000 0.000 6.813
Tm Sc Cu Ge
1 1 2 2
Direct
0.000 0.000 0.000
0.000 0.000 0.500
0.333 0.667 0.787
0.667 0.333 0.312
0.333 0.667 0.228
0.667 0.333 0.710
```

The 8 most intense peaks (5 to 70 degrees two-theta), low angle first:
- 12.99°, I 17
- 27.76°, I 37
- 36.09°, I 100
- 42.98°, I 67
- 47.15°, I 16
- 51.94°, I 7
- 57.34°, I 25
- 59.93°, I 10



# 2
The following is a calculated powder diffractogram of SmCuGeSe3. It was derived from a DFT-relaxed cell (PBE, OQMD), using Cu Kα, 1.54184 Å.
Kinematic intensities with the Lorentz-polarization factor, no thermal factor.

Crystal structure
```
SmCuGeSe3
1.0
1.970 -6.569 0.000
1.970 6.569 0.000
0.000 0.000 10.731
Sm Cu Ge Se
2 2 2 6
Direct
0.000 0.000 0.000
0.000 0.000 0.500
0.473 0.527 0.750
0.527 0.473 0.250
0.227 0.773 0.250
0.773 0.227 0.750
0.091 0.909 0.750
0.350 0.650 0.578
0.350 0.650 0.922
0.650 0.350 0.078
0.650 0.350 0.422
0.909 0.091 0.250
```

The 8 most intense peaks (5 to 70 degrees two-theta), low angle first:
- 13.48°, I 34
- 28.41°, I 32
- 30.52°, I 24
- 31.66°, I 48
- 34.90°, I 100
- 41.28°, I 28
- 44.73°, I 42
- 46.07°, I 28